(1)
Structure and theoretical powder XRD pattern of Mg3Si2O9 (a cell relaxed with GGA-PBE; Cu Kα (λ = 1.5418 Å)).
No peak broadening, texture or thermal motion is included.

Cell and atoms:
```
data_Mg3Si2O9
_chemical_formula_sum 'Mg12 Si8 O36'
_space_group_name_H-M_alt 'C m c 21'
_space_group_IT_number 36
_space_group_name_Hall 'C 2c -2'
_cell_length_a 9.3867
_cell_length_b 5.4110
_cell_length_c 14.7720
_cell_angle_alpha 90.00
_cell_angle_beta 90.00
_cell_angle_gamma 90.00
loop_
_atom_site_label
_atom_site_type_symbol
_atom_site_fract_x
_atom_site_fract_y
_atom_site_fract_z
_atom_site_occupancy
Mg1 Mg 0.0000 0.0842 0.0000 1
Mg2 Mg 0.1783 0.4501 0.4999 1
Si1 Si 0.1666 0.2280 0.8087 1
O1 O 0.0000 0.2249 0.7740 1
O2 O 0.0000 0.2721 0.4485 1
O3 O 0.0000 0.4226 0.0614 1
O4 O 0.1530 0.1189 0.5619 1
O5 O 0.1670 0.2280 0.9204 1
O6 O 0.2486 0.4794 0.7731 1
```

Main lines, by angle (2θ = 5–70°):
index  2θ/deg  I_rel
0 0 2  12.0  100
1 1 1  19.9  50
0 0 4  24.1  65
3 1 1  33.6  28
0 2 2  35.3  27
3 1 3  37.9  36
3 1 4  41.3  25
3 3 1  59.5  20

***

(2)
Structure and theoretical powder XRD pattern of MgSi5O10 (a cell relaxed with GGA-PBE; Cu Kα (λ = 1.5418 Å)).
No peak broadening, texture or thermal motion is included.

Cell and atoms:
```
data_MgSi5O10
_chemical_formula_sum 'Mg1 Si5 O10'
_space_group_name_H-M_alt 'P -4 m 2'
_space_group_IT_number 115
_space_group_name_Hall 'P -4 -2'
_cell_length_a 6.9687
_cell_length_b 6.9687
_cell_length_c 6.4737
_cell_angle_alpha 90.00
_cell_angle_beta 90.00
_cell_angle_gamma 90.00
loop_
_atom_site_label
_atom_site_type_symbol
_atom_site_fract_x
_atom_site_fract_y
_atom_site_fract_z
_atom_site_occupancy
Mg1 Mg 0.0000 0.0000 0.0000 1
Si1 Si 0.2306 0.5000 0.3808 1
Si2 Si 0.5000 0.5000 0.0000 1
O1 O 0.0000 0.5000 0.3799 1
O2 O 0.3081 0.3081 0.5000 1
O3 O 0.3077 0.5000 0.1431 1
```

Main lines, by angle (2θ = 5–70°):
index  2θ/deg  I_rel
1 0 0  12.7  100
0 0 1  13.7  18
1 0 1  18.7  40
1 1 1  22.7  28
2 1 0  28.6  13
2 0 1  29.1  34
1 0 2  30.4  9
2 1 1  31.9  12

***

(3)
Structure and theoretical powder XRD pattern of MgSiO3 (a cell relaxed with GGA-PBE; Cu Kα (λ = 1.5418 Å)).
No peak broadening, texture or thermal motion is included.

Cell and atoms:
```
data_MgSiO3
_chemical_formula_sum 'Mg8 Si8 O24'
_space_group_name_H-M_alt 'C 1 2/c 1'
_space_group_IT_number 15
_space_group_name_Hall '-C 2yc'
_cell_length_a 9.5197
_cell_length_b 8.9497
_cell_length_c 5.0617
_cell_angle_alpha 90.00
_cell_angle_beta 103.00
_cell_angle_gamma 90.00
loop_
_atom_site_label
_atom_site_type_symbol
_atom_site_fract_x
_atom_site_fract_y
_atom_site_fract_z
_atom_site_occupancy
Mg1 Mg 0.0000 0.0970 0.2500 1
Mg2 Mg 0.0000 0.2703 0.7500 1
Si1 Si 0.2026 0.4097 0.2823 1
O1 O 0.1211 0.0919 0.6418 1
O2 O 0.1208 0.2661 0.1318 1
O3 O 0.1484 0.4435 0.5729 1
```

Main lines, by angle (2θ = 5–70°):
index  2θ/deg  I_rel
2 2 0  27.7  55
3 1 0  30.6  100
2 2 -1  30.7  95
1 3 -1  35.4  95
2 2 1  35.6  65
0 0 2  36.4  56
1 3 -3  63.4  77
5 3 1  65.6  65

***

(4)
Structure and theoretical powder XRD pattern of MgSiO3 (a cell relaxed with GGA-PBE; Cu Kα (λ = 1.5418 Å)).
No peak broadening, texture or thermal motion is included.

Cell and atoms:
```
data_MgSiO3
_chemical_formula_sum 'Mg8 Si8 O24'
_space_group_name_H-M_alt 'C 1 2/c 1'
_space_group_IT_number 15
_space_group_name_Hall '-C 2yc'
_cell_length_a 10.1829
_cell_length_b 8.8436
_cell_length_c 5.3704
_cell_angle_alpha 90.00
_cell_angle_beta 112.61
_cell_angle_gamma 90.00
loop_
_atom_site_label
_atom_site_type_symbol
_atom_site_fract_x
_atom_site_fract_y
_atom_site_fract_z
_atom_site_occupancy
Mg1 Mg 0.0000 0.0994 0.2500 1
Mg2 Mg 0.0000 0.2617 0.7500 1
Si1 Si 0.2083 0.4101 0.2032 1
O1 O 0.1182 0.0932 0.6641 1
O2 O 0.1212 0.2540 0.1560 1
O3 O 0.1521 0.4708 0.8822 1
```

Main lines, by angle (2θ = 5–70°):
index  2θ/deg  I_rel
0 2 1  27.0  22
2 2 0  27.7  28
2 2 -1  28.8  100
3 1 0  30.3  42
0 0 2  36.2  41
3 3 -1  41.2  30
5 3 -1  54.8  28
2 2 -3  55.4  19

***

(5)
Structure and theoretical powder XRD pattern of Mg2SiO4 (a cell relaxed with GGA-PBE; Cu Kα (λ = 1.5418 Å)).
No peak broadening, texture or thermal motion is included.

Cell and atoms:
```
data_Mg2SiO4
_chemical_formula_sum 'Mg4 Si2 O8'
_space_group_name_H-M_alt 'P -3 m 1'
_space_group_IT_number 164
_space_group_name_Hall '-P 3 2"'
_cell_length_a 6.0142
_cell_length_b 6.0142
_cell_length_c 4.8269
_cell_angle_alpha 90.00
_cell_angle_beta 90.00
_cell_angle_gamma 120.00
loop_
_atom_site_label
_atom_site_type_symbol
_atom_site_fract_x
_atom_site_fract_y
_atom_site_fract_z
_atom_site_occupancy
Mg1 Mg 0.0000 0.0000 0.0000 1
Mg2 Mg 0.0000 0.5000 0.5000 1
Si1 Si 0.3333 0.6667 0.9270 1
O1 O 0.1886 0.3772 0.7768 1
O2 O 0.3333 0.6667 0.2650 1
```

Main lines, by angle (2θ = 5–70°):
index  2θ/deg  I_rel
1 0 0  17.0  72
1 0 1  25.2  44
1 1 0  29.7  32
1 1 1  35.2  91
0 2 1  39.3  100
0 2 2  51.6  63
0 3 1  56.3  26
2 2 0  61.7  57

***

(6)
Structure and theoretical powder XRD pattern of Mg3Si2O9 (a cell relaxed with GGA-PBE; Cu Kα (λ = 1.5418 Å)).
No peak broadening, texture or thermal motion is included.

Cell and atoms:
```
data_Mg3Si2O9
_chemical_formula_sum 'Mg6 Si4 O18'
_space_group_name_H-M_alt 'P 63'
_space_group_IT_number 173
_space_group_name_Hall 'P 6c'
_cell_length_a 5.4134
_cell_length_b 5.4134
_cell_length_c 14.9561
_cell_angle_alpha 90.00
_cell_angle_beta 90.00
_cell_angle_gamma 120.00
loop_
_atom_site_label
_atom_site_type_symbol
_atom_site_fract_x
_atom_site_fract_y
_atom_site_fract_z
_atom_site_occupancy
Mg1 Mg 0.0231 0.6896 0.0000 1
Si1 Si 0.0000 0.0000 0.1888 1
Si2 Si 0.3333 0.6667 0.1892 1
O1 O 0.0000 0.0000 0.0785 1
O2 O 0.0275 0.6667 0.4391 1
O3 O 0.1649 0.8318 0.2239 1
O4 O 0.3333 0.6667 0.0788 1
O5 O 0.3333 0.6667 0.5512 1
```

Main lines, by angle (2θ = 5–70°):
index  2θ/deg  I_rel
0 0 2  11.8  100
1 0 1  19.8  51
0 0 4  23.8  58
1 0 3  26.1  18
1 1 2  35.3  57
1 1 3  37.8  17
1 1 5  45.2  20
3 0 0  59.1  22